Starting from a crystal structure in Alexandria, relaxed with PBE, the powder diffractogram of CsCaMoPdI was calculated for λ = 1.5418 Å (Cu Kα).
No peak broadening, texture or thermal motion is included.

Cell and atoms:
```
CsCaMoPdI
1.0
4.3020 0.0000 0.0000
-2.1510 3.7257 0.0000
0.0000 0.0000 10.3808
Cs Ca Mo Pd I
1 1 1 1 1
Direct
0.0000 0.0000 0.0000
0.0000 0.0000 0.5008
0.3333 0.6667 0.7137
0.6667 0.3333 0.7044
0.6667 0.3333 0.2912
```

Top 10 peaks for 5° ≤ 2θ ≤ 70°, low angle first:
d [Å]  I_rel
10.381  17
3.507  38
3.460  22
3.027  100
2.151  43
1.827  21
1.814  16
1.753  20
1.656  17
1.359  17

Starting from a crystal structure in Alexandria, relaxed with PBE, the powder diffractogram of CsCaMoPdI was calculated for λ = 1.5418 Å (Cu Kα).
No peak broadening, texture or thermal motion is included.

Cell and atoms:
```
CsCaMoPdI
1.0
4.2061 0.0000 0.0000
-2.1031 3.6426 0.0000
0.0000 0.0000 32.7139
Cs Ca Mo Pd I
3 3 3 3 3
Direct
0.0000 0.0000 0.0000
0.3333 0.6667 0.6667
0.6667 0.3333 0.3333
0.0000 0.0000 0.1622
0.3333 0.6667 0.8289
0.6667 0.3333 0.4956
0.0000 0.0000 0.2487
0.3333 0.6667 0.9153
0.6667 0.3333 0.5820
0.0000 0.0000 0.5637
0.3333 0.6667 0.2304
0.6667 0.3333 0.8971
0.0000 0.0000 0.4303
0.3333 0.6667 0.0969
0.6667 0.3333 0.7636
```

Top 10 peaks for 5° ≤ 2θ ≤ 70°, low angle first:
d [Å]  I_rel
10.905  28
3.635  34
3.620  30
3.556  33
3.327  33
3.183  65
2.873  100
2.103  67
1.820  33
1.665  30

Starting from a crystal structure in Alexandria, relaxed with PBE, the powder diffractogram of CsCaMoPdI was calculated for λ = 1.5418 Å (Cu Kα).
No peak broadening, texture or thermal motion is included.

Cell and atoms:
```
CsCaMoPdI
1.0
4.2563 0.0000 0.0000
-2.1282 3.6861 0.0000
0.0000 0.0000 10.6939
Cs Ca Mo Pd I
1 1 1 1 1
Direct
0.0000 0.0000 0.0000
0.3333 0.6667 0.4853
0.6667 0.3333 0.7063
0.0000 0.0000 0.6629
0.6667 0.3333 0.2781
```

Top 10 peaks for 5° ≤ 2θ ≤ 70°, low angle first:
d [Å]  I_rel
3.686  37
3.565  36
3.485  48
3.035  100
2.562  49
2.128  58
1.850  19
1.827  32
1.742  19
1.348  16

Starting from a crystal structure in Alexandria, relaxed with PBE, the powder diffractogram of CsCaMoPdI was calculated for λ = 1.5418 Å (Cu Kα).
No peak broadening, texture or thermal motion is included.

Cell and atoms:
```
CsCaMoPdI
1.0
4.3025 0.0000 0.0000
-2.1513 3.7261 0.0000
0.0000 0.0000 31.0949
Cs Ca Mo Pd I
3 3 3 3 3
Direct
0.0000 0.0000 0.0000
0.3333 0.6667 0.6667
0.6667 0.3333 0.3333
0.0000 0.0000 0.8333
0.3333 0.6667 0.4999
0.6667 0.3333 0.1666
0.0000 0.0000 0.2376
0.3333 0.6667 0.9043
0.6667 0.3333 0.5710
0.0000 0.0000 0.5679
0.3333 0.6667 0.2345
0.6667 0.3333 0.9012
0.0000 0.0000 0.4300
0.3333 0.6667 0.0967
0.6667 0.3333 0.7634
```

Top 10 peaks for 5° ≤ 2θ ≤ 70°, low angle first:
d [Å]  I_rel
10.365  26
3.623  31
3.455  35
3.360  25
3.196  100
2.855  77
2.591  19
2.151  68
1.826  34
1.655  28

Starting from a crystal structure in Alexandria, relaxed with PBE, the powder diffractogram of Cs2CaNdI6 was calculated for λ = 1.5418 Å (Cu Kα).
No peak broadening, texture or thermal motion is included.

Cell and atoms:
```
Cs2CaNdI6
1.0
8.8371 0.0000 0.0000
0.0000 12.5087 0.0000
0.0000 0.0000 8.8478
Cs Ca Nd I
4 2 2 12
Direct
0.2500 0.0016 0.2495
0.2500 0.4984 0.2495
0.7500 0.5016 0.7505
0.7500 0.9984 0.7505
0.2500 0.2500 0.7494
0.7500 0.7500 0.2506
0.2500 0.7500 0.7506
0.7500 0.2500 0.2494
0.0021 0.2500 0.5010
0.0018 0.2500 0.9976
0.2500 0.0018 0.7503
0.2500 0.4982 0.7503
0.4979 0.2500 0.5010
0.4982 0.2500 0.9976
0.5018 0.7500 0.0024
0.5021 0.7500 0.4990
0.7500 0.5018 0.2497
0.7500 0.9982 0.2497
0.9982 0.7500 0.0024
0.9979 0.7500 0.4990
```

Top 10 peaks for 5° ≤ 2θ ≤ 70°, low angle first:
d [Å]  I_rel
6.253  12
4.422  13
3.610  92
3.127  100
2.211  75
1.885  43
1.805  27
1.563  12
1.435  18
1.398  34

Starting from a crystal structure in Alexandria, relaxed with PBE, the powder diffractogram of Cs3Ca2PbI9 was calculated for λ = 1.5418 Å (Cu Kα).
No peak broadening, texture or thermal motion is included.

Cell and atoms:
```
Cs3Ca2PbI9
1.0
8.8801 0.0000 0.0000
-4.4400 7.6904 0.0000
0.0000 0.0000 10.8977
Cs Ca Pb I
3 2 1 9
Direct
0.0000 0.0000 0.0000
0.3333 0.6667 0.6660
0.6667 0.3333 0.3340
0.3333 0.6667 0.1615
0.6667 0.3333 0.8385
0.0000 0.0000 0.5000
0.0000 0.5000 0.0000
0.1693 0.3386 0.3286
0.1693 0.8307 0.3286
0.3386 0.1693 0.6714
0.5000 0.0000 0.0000
0.5000 0.5000 0.0000
0.6614 0.8307 0.3286
0.8307 0.1693 0.6714
0.8307 0.6614 0.6714
```

Top 10 peaks for 5° ≤ 2θ ≤ 70°, low angle first:
d [Å]  I_rel
6.283  15
4.443  15
3.628  90
3.142  100
2.222  74
1.895  42
1.814  27
1.571  12
1.442  9
1.405  34

Starting from a crystal structure in Alexandria, relaxed with PBE, the powder diffractogram of Cs2CaSI6 was calculated for λ = 1.5418 Å (Cu Kα).
No peak broadening, texture or thermal motion is included.

Cell and atoms:
```
Cs2CaSI6
1.0
-4.1553 4.1553 6.9381
4.1553 -4.1553 6.9381
4.1553 4.1553 -6.9381
Cs Ca S I
2 1 1 6
Direct
0.2500 0.7500 0.5000
0.7500 0.2500 0.5000
0.0000 0.0000 0.0000
0.5000 0.5000 0.0000
0.2178 0.2178 0.0000
0.2709 0.2709 0.5417
0.2709 0.7291 0.0000
0.7291 0.2709 0.0000
0.7291 0.7291 0.4583
0.7822 0.7822 0.0000
```

Top 10 peaks for 5° ≤ 2θ ≤ 70°, low angle first:
d [Å]  I_rel
4.042  7
3.565  100
3.469  30
2.938  42
2.242  33
2.078  14
2.021  15
1.795  24
1.782  15
1.449  9

Starting from a crystal structure in Alexandria, relaxed with PBE, the powder diffractogram of CsCaScI6 was calculated for λ = 1.5418 Å (Cu Kα).
No peak broadening, texture or thermal motion is included.

Cell and atoms:
```
CsCaScI6
1.0
7.8637 0.0000 0.0000
-3.9318 6.8101 0.0000
0.0000 0.0000 8.6673
Cs Ca Sc I
1 1 1 6
Direct
0.0000 0.0000 0.0000
0.3333 0.6667 0.5000
0.6667 0.3333 0.5000
0.3812 0.0216 0.6988
0.3812 0.3596 0.3012
0.6404 0.0216 0.3012
0.6404 0.6188 0.6988
0.9784 0.3596 0.6988
0.9784 0.6188 0.3012
```

Top 10 peaks for 5° ≤ 2θ ≤ 70°, low angle first:
d [Å]  I_rel
8.667  15
5.355  32
3.581  100
3.405  12
2.912  62
2.889  12
2.467  19
2.328  16
2.270  27
1.898  16

Starting from a crystal structure in Alexandria, relaxed with PBE, the powder diffractogram of Cs2CaSmI6 was calculated for λ = 1.5418 Å (Cu Kα).
No peak broadening, texture or thermal motion is included.

Cell and atoms:
```
Cs2CaSmI6
1.0
-4.3961 4.3973 6.2206
4.3961 -4.3973 6.2206
4.3961 4.3973 -6.2206
Cs Ca Sm I
2 1 1 6
Direct
0.2488 0.2488 0.0000
0.7512 0.7512 0.0000
0.5000 0.0000 0.5000
0.0000 0.5000 0.5000
0.2505 0.2497 0.5002
0.2505 0.7503 0.0007
0.2504 0.7504 0.5000
0.7496 0.2496 0.5000
0.7495 0.2497 0.9993
0.7495 0.7503 0.4998
```

Top 10 peaks for 5° ≤ 2θ ≤ 70°, low angle first:
d [Å]  I_rel
6.219  13
4.397  13
3.590  90
3.109  100
2.199  75
1.875  42
1.795  27
1.555  12
1.427  17
1.391  34

Starting from a crystal structure in Alexandria, relaxed with PBE, the powder diffractogram of Cs2CaYI6 was calculated for λ = 1.5418 Å (Cu Kα).
No peak broadening, texture or thermal motion is included.

Cell and atoms:
```
Cs2CaYI6
1.0
0.0000 6.1735 6.1735
6.1735 0.0000 6.1735
6.1735 6.1735 0.0000
Cs Ca Y I
2 1 1 6
Direct
0.2500 0.2500 0.2500
0.7500 0.7500 0.7500
0.0000 0.0000 0.0000
0.5000 0.5000 0.5000
0.2517 0.2517 0.7483
0.2517 0.7483 0.2517
0.2517 0.7483 0.7483
0.7483 0.2517 0.2517
0.7483 0.2517 0.7483
0.7483 0.7483 0.2517
```

Top 10 peaks for 5° ≤ 2θ ≤ 70°, low angle first:
d [Å]  I_rel
6.174  6
4.365  7
3.564  100
3.087  88
2.183  65
1.861  47
1.782  23
1.543  11
1.416  19
1.380  30

Starting from a crystal structure in Alexandria, relaxed with PBE, the powder diffractogram of CsCa2SiIr was calculated for λ = 1.5418 Å (Cu Kα).
No peak broadening, texture or thermal motion is included.

Cell and atoms:
```
CsCa2SiIr
1.0
5.6917 0.0000 0.0000
0.0000 5.6917 0.0000
0.0000 0.0000 4.7111
Cs Ca Si Ir
1 2 1 1
Direct
0.0000 0.0000 0.0000
0.0000 0.5000 0.5000
0.5000 0.0000 0.5000
0.5000 0.5000 0.0000
0.5000 0.5000 0.5000
```

Top 10 peaks for 5° ≤ 2θ ≤ 70°, low angle first:
d [Å]  I_rel
4.025  53
3.629  100
2.846  60
2.356  18
2.239  55
2.033  17
2.012  22
1.815  31
1.530  18
1.497  16

Starting from a crystal structure in Alexandria, relaxed with PBE, the powder diffractogram of CsCaMg6 was calculated for λ = 1.5418 Å (Cu Kα).
No peak broadening, texture or thermal motion is included.

Cell and atoms:
```
CsCaMg6
1.0
5.5231 0.0000 0.0000
0.0000 7.4304 0.0000
0.0000 0.0000 11.9952
Cs Ca Mg
2 2 12
Direct
0.0000 0.0000 0.0000
0.0000 0.5000 0.5000
0.5000 0.0000 0.7979
0.5000 0.5000 0.2979
0.0000 0.0000 0.4451
0.0000 0.2182 0.7220
0.0000 0.2818 0.2220
0.0000 0.5000 0.9451
0.0000 0.7182 0.2220
0.0000 0.7818 0.7220
0.5000 0.0000 0.2823
0.5000 0.2009 0.5452
0.5000 0.2991 0.0452
0.5000 0.5000 0.7823
0.5000 0.7009 0.0452
0.5000 0.7991 0.5452
```

Top 10 peaks for 5° ≤ 2θ ≤ 70°, low angle first:
d [Å]  I_rel
6.317  43
4.158  44
4.063  23
2.999  21
2.969  36
2.762  33
2.742  100
2.635  22
1.760  18
1.591  18

Starting from a crystal structure in Alexandria, relaxed with PBE, the powder diffractogram of CsCaMg14 was calculated for λ = 1.5418 Å (Cu Kα).
No peak broadening, texture or thermal motion is included.

Cell and atoms:
```
CsCaMg14
1.0
10.9708 0.0000 0.0000
0.0000 3.2744 5.8587
0.0000 -3.2744 5.8587
Cs Ca Mg
1 1 14
Direct
0.0000 0.0000 0.0000
0.0000 0.4907 0.4907
0.0000 0.5006 0.9938
0.0000 0.9938 0.5006
0.2493 0.6667 0.6667
0.2657 0.1730 0.1730
0.2716 0.1653 0.6586
0.2716 0.6586 0.1653
0.5000 0.0036 0.0036
0.5000 0.5025 0.9938
0.5000 0.5042 0.5042
0.5000 0.9938 0.5025
0.7284 0.1653 0.6586
0.7284 0.6586 0.1653
0.7343 0.1730 0.1730
0.7507 0.6667 0.6667
```

Top 10 peaks for 5° ≤ 2θ ≤ 70°, low angle first:
d [Å]  I_rel
10.971  37
5.168  19
5.070  19
2.859  32
2.743  39
2.584  52
2.535  100
1.677  18
1.540  18
1.431  22